# 1
Diffraction record for BaYF5. The powder XRD pattern is simulated, not measured: it uses the GGA-PBE geometry in the Materials Project and Cu Kα (weighted mean of Kα1 and Kα2).
Lines closer than 0.1° are merged.

Structural model:
```
data_BaYF5
_chemical_formula_sum 'Ba8 Y8 F40'
_space_group_name_H-M_alt 'P 1'
_space_group_IT_number 1
_cell_length_a 6.083
_cell_length_b 20.471
_cell_length_c 9.539
_cell_angle_alpha 90.00
_cell_angle_beta 123.17
_cell_angle_gamma 90.00
loop_
_space_group_symop_operation_xyz
'x,y,z'
loop_
_atom_site_label
_atom_site_type_symbol
_atom_site_fract_x
_atom_site_fract_y
_atom_site_fract_z
Ba1 Ba 0.124 0.050 0.265
Ba2 Ba 0.124 0.450 0.765
Ba3 Ba 0.308 0.224 0.032
Ba4 Ba 0.308 0.276 0.532
Ba5 Ba 0.692 0.724 0.468
Ba6 Ba 0.692 0.776 0.968
Ba7 Ba 0.876 0.550 0.235
Ba8 Ba 0.876 0.950 0.735
Y1 Y 0.196 0.630 0.973
Y2 Y 0.196 0.870 0.473
Y3 Y 0.443 0.599 0.651
Y4 Y 0.443 0.901 0.151
Y5 Y 0.557 0.099 0.849
Y6 Y 0.557 0.401 0.349
Y7 Y 0.804 0.130 0.527
Y8 Y 0.804 0.370 0.027
F1 F 0.036 0.634 0.518
F2 F 0.036 0.866 0.018
F3 F 0.061 0.156 0.445
F4 F 0.061 0.344 0.945
F5 F 0.132 0.075 0.745
F6 F 0.132 0.425 0.245
F7 F 0.189 0.716 0.835
F8 F 0.189 0.784 0.335
F9 F 0.262 0.505 0.560
F10 F 0.262 0.995 0.060
F11 F 0.296 0.532 0.077
F12 F 0.296 0.968 0.577
F13 F 0.369 0.617 0.404
F14 F 0.369 0.883 0.904
F15 F 0.402 0.200 0.791
F16 F 0.402 0.300 0.291
F17 F 0.421 0.159 0.314
F18 F 0.421 0.341 0.814
F19 F 0.435 0.586 0.879
F20 F 0.435 0.914 0.379
F21 F 0.565 0.086 0.621
F22 F 0.565 0.414 0.121
F23 F 0.579 0.659 0.186
F24 F 0.579 0.841 0.686
F25 F 0.598 0.700 0.709
F26 F 0.598 0.800 0.209
F27 F 0.631 0.117 0.096
F28 F 0.631 0.383 0.596
F29 F 0.704 0.032 0.423
F30 F 0.704 0.468 0.923
F31 F 0.738 0.005 0.940
F32 F 0.738 0.495 0.440
F33 F 0.811 0.216 0.665
F34 F 0.811 0.284 0.165
F35 F 0.868 0.575 0.755
F36 F 0.868 0.925 0.255
F37 F 0.939 0.656 0.055
F38 F 0.939 0.844 0.555
F39 F 0.964 0.134 0.982
F40 F 0.964 0.366 0.482
```

Most intense lines, 2θ from 5° to 70°, low angle first:
2θ = 22.76°, intensity 61
2θ = 23.36°, intensity 100
2θ = 23.92°, intensity 43
2θ = 25.75°, intensity 29
2θ = 26.85°, intensity 29
2θ = 27.96°, intensity 36
2θ = 29.54°, intensity 27
2θ = 36.92°, intensity 26
2θ = 37.74°, intensity 40
2θ = 45.43°, intensity 28

---

# 2
Diffraction record for Na3ScSi2SnSO12. The powder XRD pattern is simulated, not measured: it uses the GGA-PBE geometry in the Materials Project and Cu Kα (weighted mean of Kα1 and Kα2).
Lines closer than 0.1° are merged.

Structural model:
```
data_Na3ScSi2SnSO12
_chemical_formula_sum 'Na6 Sc2 Si4 Sn2 S2 O24'
_space_group_name_H-M_alt 'P 1'
_space_group_IT_number 1
_cell_length_a 9.076
_cell_length_b 9.076
_cell_length_c 9.301
_cell_angle_alpha 120.02
_cell_angle_beta 120.02
_cell_angle_gamma 60.50
loop_
_space_group_symop_operation_xyz
'x,y,z'
loop_
_atom_site_label
_atom_site_type_symbol
_atom_site_fract_x
_atom_site_fract_y
_atom_site_fract_z
Na1 Na 0.063 0.937 0.500
Na2 Na 0.167 0.691 0.754
Na3 Na 0.292 0.432 0.001
Na4 Na 0.432 0.292 0.501
Na5 Na 0.691 0.167 0.254
Na6 Na 0.937 0.063 0.000
Sc1 Sc 0.036 0.545 0.319
Sc2 Sc 0.545 0.036 0.819
Si1 Si 0.145 0.239 0.518
Si2 Si 0.239 0.145 0.018
Si3 Si 0.736 0.941 0.522
Si4 Si 0.941 0.736 0.022
Sn1 Sn 0.328 0.859 0.210
Sn2 Sn 0.859 0.328 0.710
S1 S 0.443 0.642 0.510
S2 S 0.642 0.443 0.010
O1 O 0.055 0.159 0.839
O2 O 0.132 0.413 0.497
O3 O 0.132 0.740 0.033
O4 O 0.159 0.055 0.339
O5 O 0.203 0.321 0.189
O6 O 0.249 0.960 0.022
O7 O 0.282 0.623 0.496
O8 O 0.321 0.203 0.689
O9 O 0.413 0.132 0.997
O10 O 0.417 0.660 0.347
O11 O 0.468 0.804 0.665
O12 O 0.476 0.597 0.031
O13 O 0.554 0.919 0.345
O14 O 0.597 0.476 0.531
O15 O 0.623 0.282 0.996
O16 O 0.660 0.417 0.847
O17 O 0.706 0.976 0.695
O18 O 0.740 0.132 0.533
O19 O 0.780 0.922 0.002
O20 O 0.804 0.468 0.165
O21 O 0.919 0.554 0.845
O22 O 0.922 0.780 0.502
O23 O 0.960 0.249 0.522
O24 O 0.976 0.706 0.195
```

Most intense lines, 2θ from 5° to 70°, low angle first:
2θ = 13.58°, intensity 89
2θ = 19.09°, intensity 62
2θ = 19.35°, intensity 100
2θ = 19.57°, intensity 74
2θ = 22.69°, intensity 61
2θ = 27.35°, intensity 47
2θ = 30.45°, intensity 68
2θ = 30.63°, intensity 73
2θ = 31.02°, intensity 65
2θ = 34.05°, intensity 68

---

# 3
Diffraction record for Sm2TlHg. The powder XRD pattern is simulated, not measured: it uses the GGA-PBE geometry in the Materials Project and Cu Kα (weighted mean of Kα1 and Kα2).
Lines closer than 0.1° are merged.

Structural model:
```
data_Sm2TlHg
_chemical_formula_sum 'Sm2 Tl1 Hg1'
_space_group_name_H-M_alt 'P 1'
_space_group_IT_number 1
_cell_length_a 5.429
_cell_length_b 5.429
_cell_length_c 5.429
_cell_angle_alpha 60.00
_cell_angle_beta 60.00
_cell_angle_gamma 60.00
loop_
_space_group_symop_operation_xyz
'x,y,z'
loop_
_atom_site_label
_atom_site_type_symbol
_atom_site_fract_x
_atom_site_fract_y
_atom_site_fract_z
Sm1 Sm 0.250 0.250 0.250
Sm2 Sm 0.750 0.750 0.750
Tl1 Tl 0.000 0.000 0.000
Hg1 Hg 0.500 0.500 0.500
```

Most intense lines, 2θ from 5° to 70°, low angle first:
2θ = 23.17°, intensity 2
2θ = 33.00°, intensity 100
2θ = 40.71°, intensity 1
2θ = 47.36°, intensity 18
2θ = 53.37°, intensity 1
2θ = 58.93°, intensity 39
2θ = 69.22°, intensity 12

---

# 4
Diffraction record for HoSi2Rh3. The powder XRD pattern is simulated, not measured: it uses the GGA-PBE geometry in the Materials Project and Cu Kα (weighted mean of Kα1 and Kα2).
Lines closer than 0.1° are merged.

Structural model:
```
data_HoSi2Rh3
_chemical_formula_sum 'Ho1 Si2 Rh3'
_space_group_name_H-M_alt 'P 1'
_space_group_IT_number 1
_cell_length_a 5.516
_cell_length_b 5.516
_cell_length_c 3.684
_cell_angle_alpha 90.00
_cell_angle_beta 90.00
_cell_angle_gamma 120.00
loop_
_space_group_symop_operation_xyz
'x,y,z'
loop_
_atom_site_label
_atom_site_type_symbol
_atom_site_fract_x
_atom_site_fract_y
_atom_site_fract_z
Ho1 Ho 0.000 0.000 0.000
Si1 Si 0.333 0.667 0.000
Si2 Si 0.667 0.333 0.000
Rh1 Rh 0.000 0.500 0.500
Rh2 Rh 0.500 0.000 0.500
Rh3 Rh 0.500 0.500 0.500
```

Most intense lines, 2θ from 5° to 70°, low angle first:
2θ = 30.65°, intensity 98
2θ = 32.46°, intensity 10
2θ = 37.66°, intensity 100
2θ = 40.87°, intensity 82
2θ = 45.25°, intensity 19
2θ = 49.48°, intensity 21
2θ = 56.79°, intensity 34
2θ = 63.67°, intensity 22
2θ = 63.81°, intensity 42
2θ = 67.98°, intensity 24

---

# 5
Diffraction record for Pm3Pb. The powder XRD pattern is simulated, not measured: it uses the GGA-PBE geometry in the Materials Project and Cu Kα (weighted mean of Kα1 and Kα2).
Lines closer than 0.1° are merged.

Structural model:
```
data_Pm3Pb
_chemical_formula_sum 'Pm3 Pb1'
_space_group_name_H-M_alt 'P 1'
_space_group_IT_number 1
_cell_length_a 4.983
_cell_length_b 4.983
_cell_length_c 4.983
_cell_angle_alpha 90.00
_cell_angle_beta 90.00
_cell_angle_gamma 90.00
loop_
_space_group_symop_operation_xyz
'x,y,z'
loop_
_atom_site_label
_atom_site_type_symbol
_atom_site_fract_x
_atom_site_fract_y
_atom_site_fract_z
Pm1 Pm 0.000 0.000 0.500
Pm2 Pm 0.000 0.500 0.000
Pm3 Pm 0.500 0.000 0.000
Pb1 Pb 0.500 0.500 0.500
```

Most intense lines, 2θ from 5° to 70°, low angle first:
2θ = 17.80°, intensity 2
2θ = 25.28°, intensity 2
2θ = 31.09°, intensity 100
2θ = 36.05°, intensity 51
2θ = 40.48°, intensity 1
2θ = 44.54°, intensity 1
2θ = 51.90°, intensity 36
2θ = 55.31°, intensity 1
2θ = 61.75°, intensity 43
2θ = 64.82°, intensity 12

---

# 6
Diffraction record for Ho3Fe2Si3. The powder XRD pattern is simulated, not measured: it uses the GGA-PBE geometry in the Materials Project and Cu Kα (weighted mean of Kα1 and Kα2).
Lines closer than 0.1° are merged.

Structural model:
```
data_Ho3Fe2Si3
_chemical_formula_sum 'Ho6 Fe4 Si6'
_space_group_name_H-M_alt 'P 1'
_space_group_IT_number 1
_cell_length_a 5.630
_cell_length_b 5.630
_cell_length_c 13.562
_cell_angle_alpha 90.00
_cell_angle_beta 90.00
_cell_angle_gamma 137.64
loop_
_space_group_symop_operation_xyz
'x,y,z'
loop_
_atom_site_label
_atom_site_type_symbol
_atom_site_fract_x
_atom_site_fract_y
_atom_site_fract_z
Ho1 Ho 0.079 0.921 0.613
Ho2 Ho 0.079 0.921 0.887
Ho3 Ho 0.362 0.638 0.750
Ho4 Ho 0.638 0.362 0.250
Ho5 Ho 0.921 0.079 0.113
Ho6 Ho 0.921 0.079 0.387
Fe1 Fe 0.215 0.785 0.080
Fe2 Fe 0.215 0.785 0.420
Fe3 Fe 0.785 0.215 0.580
Fe4 Fe 0.785 0.215 0.920
Si1 Si 0.327 0.673 0.250
Si2 Si 0.376 0.624 0.539
Si3 Si 0.376 0.624 0.961
Si4 Si 0.624 0.376 0.039
Si5 Si 0.624 0.376 0.461
Si6 Si 0.673 0.327 0.750
```

Most intense lines, 2θ from 5° to 70°, low angle first:
2θ = 24.37°, intensity 33
2θ = 26.01°, intensity 47
2θ = 26.93°, intensity 22
2θ = 34.45°, intensity 74
2θ = 35.51°, intensity 100
2θ = 37.32°, intensity 26
2θ = 39.38°, intensity 40
2θ = 44.55°, intensity 35
2θ = 59.04°, intensity 22
2θ = 59.46°, intensity 24